PmYMg6: calculated powder diffractogram (copper Kα), based on a DFT-relaxed cell (PBE, Alexandria).
Neutral-atom scattering factors, no anomalous dispersion.

Crystal structure
```
data_PmYMg6
_chemical_formula_sum 'Pm2 Y2 Mg12'
_cell_length_a 5.203
_cell_length_b 6.744
_cell_length_c 11.667
_cell_angle_alpha 90.00
_cell_angle_beta 90.00
_cell_angle_gamma 90.00
_symmetry_space_group_name_H-M 'A m m 2'
_symmetry_Int_Tables_number 38
_symmetry_space_group_name_Hall 'A 2 -2'
loop_
_atom_site_label
_atom_site_type_symbol
_atom_site_fract_x
_atom_site_fract_y
_atom_site_fract_z
_atom_site_occupancy
Pm1 Pm 0.000 0.000 0.000 1
Y1 Y 0.500 0.000 0.332 1
Mg1 Mg 0.000 0.000 0.503 1
Mg2 Mg 0.000 0.245 0.748 1
Mg3 Mg 0.500 0.000 0.828 1
Mg4 Mg 0.500 0.242 0.585 1
```

Principal peaks in the range 5° ≤ 2θ ≤ 70°, by angle:
two_theta	I_rel	h k l
15.18	33.4	0 1 1
22.90	72.2	1 0 2
26.45	31.8	0 2 0
30.63	25.7	0 0 4
34.48	23.5	2 0 0
35.26	100.0	1 2 2
44.61	22.4	1 1 5
54.46	18.4	0 4 0
62.28	18.4	3 2 2
66.07	20.2	2 4 0